1.
Structure and calculated powder diffraction line list of TbCuSi (a PBE-relaxed structure; Cu Kα, 1.54184 Å).
No peak broadening, texture or thermal motion is included.

Structure:
```
TbCuSi
1.0
4.074 0.000 0.000
-2.037 3.528 0.000
0.000 0.000 3.977
Tb Cu Si
1 1 1
Direct
0.000 0.000 0.000
0.333 0.667 0.500
0.667 0.333 0.500
```

Principal peaks in the range 10 to 80 degrees two-theta, low angle first:
hkl 1 0 0, 3.528 Å, 2θ 25.24, I = 31; hkl 1 0 1, 2.639 Å, 2θ 33.97, I = 100; hkl 1 1 0, 2.037 Å, 2θ 44.48, I = 35; hkl 0 0 2, 1.989 Å, 2θ 45.62, I = 11; hkl 2 0 0, 1.764 Å, 2θ 51.83, I = 5; hkl 1 0 2, 1.732 Å, 2θ 52.85, I = 9; hkl 2 0 1, 1.612 Å, 2θ 57.12, I = 22; hkl 1 1 2, 1.423 Å, 2θ 65.61, I = 21; hkl 2 1 1, 1.264 Å, 2θ 75.15, I = 19; hkl 1 0 3, 1.241 Å, 2θ 76.81, I = 9


2.
Structure and calculated powder diffraction line list of TbCuSi (a PBE-relaxed structure; Cu Kα, 1.54184 Å).
No peak broadening, texture or thermal motion is included.

Structure:
```
TbCuSi
1.0
4.157 0.000 0.000
-2.078 3.600 0.000
0.000 0.000 7.529
Tb Cu Si
2 2 2
Direct
0.000 0.000 0.000
0.000 0.000 0.500
0.333 0.667 0.250
0.667 0.333 0.750
0.333 0.667 0.750
0.667 0.333 0.250
```

Principal peaks in the range 10 to 80 degrees two-theta, low angle first:
hkl 1 0 0, 3.600 Å, 2θ 24.73, I = 32; hkl 1 0 1, 3.248 Å, 2θ 27.46, I = 5; hkl 1 0 2, 2.602 Å, 2θ 34.47, I = 100; hkl 1 1 0, 2.078 Å, 2θ 43.55, I = 40; hkl 0 0 4, 1.882 Å, 2θ 48.35, I = 10; hkl 1 0 4, 1.668 Å, 2θ 55.06, I = 8; hkl 2 0 2, 1.624 Å, 2θ 56.69, I = 24; hkl 1 1 4, 1.395 Å, 2θ 67.09, I = 21; hkl 2 1 2, 1.280 Å, 2θ 74.10, I = 21; hkl 3 0 0, 1.200 Å, 2θ 79.95, I = 6


3.
Structure and calculated powder diffraction line list of Cu2SiTe3 (a PBE-relaxed structure; Cu Kα, 1.54184 Å).
No peak broadening, texture or thermal motion is included.

Structure:
```
Cu2SiTe3
1.0
4.253 0.000 0.000
0.000 12.588 0.000
0.000 0.000 5.945
Cu Si Te
4 2 6
Direct
0.000 0.167 0.000
0.000 0.833 0.000
0.500 0.333 0.500
0.500 0.667 0.500
0.000 0.500 0.986
0.500 0.000 0.486
0.000 0.000 0.750
0.000 0.333 0.746
0.000 0.667 0.746
0.500 0.167 0.246
0.500 0.500 0.250
0.500 0.833 0.246
```

Principal peaks in the range 10 to 80 degrees two-theta, low angle first:
hkl 1 0 1, 3.459 Å, 2θ 25.76, I = 100; hkl 0 3 1, 3.428 Å, 2θ 25.99, I = 98; hkl 1 3 0, 2.987 Å, 2θ 29.91, I = 17; hkl 2 0 0, 2.126 Å, 2θ 42.51, I = 23; hkl 1 3 2, 2.107 Å, 2θ 42.93, I = 87; hkl 0 6 0, 2.098 Å, 2θ 43.12, I = 22; hkl 2 3 1, 1.807 Å, 2θ 50.51, I = 31; hkl 1 0 3, 1.795 Å, 2θ 50.88, I = 45; hkl 0 3 3, 1.792 Å, 2θ 50.97, I = 15; hkl 1 9 2, 1.213 Å, 2θ 78.93, I = 21